# SmWIO4
Calculated X-ray diffraction stick pattern, Cu Kα, 1.54184 Å. Input: DFT lattice parameters and positions (GGA+U).
Kinematic intensities with the Lorentz-polarization factor, no thermal factor.

Largest 10 diffraction maxima, by angle, 5 to 70 degrees two-theta:
d_spacing, 2θ (°), I_rel
3.746, 23.8, 33
3.697, 24.1, 100
3.472, 25.7, 43
3.239, 27.5, 66
3.200, 27.9, 44
2.724, 32.9, 54
2.531, 35.5, 33
2.035, 44.5, 24
1.886, 48.2, 20
1.849, 49.3, 22

Crystal structure
```
SmWIO4
1.0
5.551 -3.697 0.000
5.551 3.697 0.000
-2.044 0.000 6.943
Sm W I O
2 2 2 8
direct
0.244 0.244 0.135 Sm
0.756 0.756 0.865 Sm
0.366 0.366 0.738 W
0.634 0.634 0.262 W
0.017 0.017 0.752 I
0.983 0.983 0.248 I
0.117 0.496 0.851 O
0.304 0.304 0.478 O
0.464 0.464 0.197 O
0.496 0.117 0.851 O
0.504 0.883 0.149 O
0.536 0.536 0.803 O
0.696 0.696 0.522 O
0.883 0.504 0.149 O
```